YPaCo2O8: theoretical powder X-ray diffraction pattern (Cu Kα (λ = 1.5418 Å)), based on DFT lattice parameters and positions (GGA+U).

```
12
Lattice="-2.559 2.559 5.571 2.559 -2.559 5.571 2.559 2.559 -5.571" Properties=species:S:1:pos:R:3 pbc="T T T"
Y 0.000 0.000 0.000
Pa 2.559 0.000 2.786
Co 0.000 0.000 5.571
Co 0.000 2.559 2.786
O 1.350 -0.773 4.636
O 1.786 1.209 0.935
O -0.828 1.187 1.924
O 1.209 3.332 -0.935
O 1.373 1.732 3.647
O 0.773 1.350 6.506
O 0.828 3.932 1.924
O -1.373 3.387 3.647
```

The 12 most intense peaks (2θ from 10° to 80°), in order of rising 2θ:
2theta	Rel. int.
19.1	38
29.4	100
32.1	15
35.1	20
40.2	15
46.6	11
48.3	30
50.4	14
55.6	17
59.5	28
61.1	12
78.4	12